Structure and computed powder XRD pattern of Pr4NdEr6 (a cell relaxed with GGA-PBE; Cu Kα (λ = 1.5418 Å)).

Crystal structure
```
data_Pr4NdEr6
_cell_length_a 11.0462
_cell_length_b 11.0462
_cell_length_c 3.5408
_cell_angle_alpha 90.00
_cell_angle_beta 90.00
_cell_angle_gamma 120.00
_space_group_name_H-M_alt 'P -6 m 2'
_space_group_IT_number 187
_space_group_name_Hall 'P -6 2'
loop_
_atom_site_label
_atom_site_fract_x
_atom_site_fract_y
_atom_site_fract_z
Pr1 0.0000 0.0000 0.0000
Pr2 0.0630 0.5315 0.5000
Nd1 0.6667 0.3333 0.0000
Er1 0.1622 0.3244 0.0000
Er2 0.3260 0.1630 0.5000
```

Top 12 peaks for 10° ≤ 2θ ≤ 90°, in order of falling intensity:
| two_theta | I_rel |
| --- | --- |
| 31.43 | 100 |
| 32.42 | 100 |
| 57.21 | 37 |
| 62.30 | 31 |
| 45.78 | 29 |
| 35.48 | 25 |
| 24.62 | 18 |
| 29.98 | 15 |
| 37.97 | 14 |
| 57.83 | 13 |
| 51.63 | 11 |
| 81.19 | 10 |